Diffraction record for RbYMnWO6. The PXRD pattern is simulated, not measured: it uses a cell relaxed with PBE+U and Cu Kα.
Intensities are scaled so that the largest is 100.

Atomic structure:
```
RbYMnWO6
1.0
5.430 0.000 0.000
0.000 5.622 0.000
-0.518 0.000 9.787
Rb Y Mn W O
2 2 2 2 12
Cartesian
1.256 0.000 0.120
3.655 2.811 9.667
1.206 0.273 4.904
3.706 3.084 4.883
1.026 2.806 6.792
3.885 5.617 2.995
1.045 2.749 2.738
3.866 5.560 7.048
0.165 1.060 2.533
0.020 0.957 7.181
0.446 2.480 4.790
1.589 2.877 0.995
2.141 4.275 3.464
2.302 4.428 6.340
2.610 1.617 3.446
2.770 1.464 6.323
3.322 0.066 8.792
4.465 5.291 4.997
4.891 3.767 2.606
4.747 3.871 7.253
```

Principal peaks in the range 10 to 90 degrees two-theta, sorted by position:
- d 4.876, I = 44.6
- d 3.109, I = 88.1
- d 2.996, I = 100.0
- d 2.811, I = 41.5
- d 2.711, I = 34.8
- d 1.951, I = 37.1

Diffraction record for MnRe2O10. The PXRD pattern is simulated, not measured: it uses a cell relaxed with PBE+U and Cu Kα.
Intensities are scaled so that the largest is 100.

Atomic structure:
```
MnRe2O10
1.0
7.178 -2.899 0.000
7.178 2.899 0.000
-1.916 0.000 5.337
Mn Re O
1 2 10
Cartesian
0.000 0.000 0.000
4.917 0.000 0.780
7.522 0.000 4.556
0.982 0.000 1.689
5.957 1.450 0.811
2.025 0.000 4.694
6.483 1.450 4.525
3.875 0.000 2.160
8.565 0.000 3.177
5.957 -1.450 0.811
10.415 0.000 0.643
6.483 -1.450 4.525
11.458 0.000 3.648
```

Principal peaks in the range 10 to 90 degrees two-theta, sorted by position:
- d 5.334, I = 100.0
- d 5.111, I = 44.5
- d 3.633, I = 33.2
- d 3.557, I = 79.6
- d 3.542, I = 52.4
- d 3.409, I = 84.6

Diffraction record for MnReO4. The PXRD pattern is simulated, not measured: it uses a cell relaxed with PBE+U and Cu Kα.
Intensities are scaled so that the largest is 100.

Atomic structure:
```
MnReO4
1.0
4.838 0.000 0.000
0.268 5.158 0.000
0.043 0.020 5.734
Mn Re O
2 2 8
Cartesian
0.082 1.296 1.006
5.067 3.882 4.728
2.628 3.879 1.907
2.521 1.299 3.827
1.292 2.016 4.986
1.398 4.570 0.752
1.702 4.881 3.457
1.561 2.278 2.274
3.588 2.900 3.460
3.447 0.297 2.277
3.751 0.608 4.982
3.857 3.162 0.748
```

Principal peaks in the range 10 to 90 degrees two-theta, sorted by position:
- d 4.832, I = 69.2
- d 3.835, I = 62.8
- d 3.073, I = 56.4
- d 3.051, I = 54.9
- d 2.949, I = 100.0
- d 2.579, I = 36.0

Diffraction record for MnRe2O8. The PXRD pattern is simulated, not measured: it uses a cell relaxed with PBE+U and Cu Kα.
Intensities are scaled so that the largest is 100.

Atomic structure:
```
MnRe2O8
1.0
5.961 0.000 0.000
-2.980 5.162 0.000
0.000 0.000 6.577
Mn Re O
1 2 8
Cartesian
0.000 0.000 0.000
0.000 3.442 1.811
2.980 1.721 4.767
-1.449 4.255 1.231
0.020 1.780 1.231
0.000 3.442 3.544
1.552 0.873 5.346
1.429 4.290 1.231
2.980 1.721 3.033
2.960 3.382 5.346
4.429 0.908 5.346
```

Principal peaks in the range 10 to 90 degrees two-theta, sorted by position:
- d 4.061, I = 100.0
- d 2.980, I = 32.7
- d 2.774, I = 14.0
- d 2.403, I = 12.0
- d 2.018, I = 11.9
- d 1.871, I = 22.9

Diffraction record for MnRe2O8. The PXRD pattern is simulated, not measured: it uses a cell relaxed with PBE+U and Cu Kα.
Intensities are scaled so that the largest is 100.

Atomic structure:
```
MnRe2O8
1.0
5.943 0.000 0.000
-2.972 5.147 0.000
0.000 0.000 6.774
Mn Re O
1 2 8
Cartesian
0.000 0.000 0.000
0.000 3.431 1.826
2.972 1.716 4.948
-1.463 4.213 1.240
0.055 1.774 1.240
0.000 3.431 3.560
1.563 0.840 5.534
1.408 4.308 1.240
2.972 1.716 3.214
2.917 3.373 5.534
4.435 0.934 5.534
```

Principal peaks in the range 10 to 90 degrees two-theta, sorted by position:
- d 4.098, I = 100.0
- d 2.972, I = 31.4
- d 2.829, I = 14.1
- d 2.406, I = 11.9
- d 2.068, I = 12.8
- d 1.870, I = 22.3

Diffraction record for MnRe2O10. The PXRD pattern is simulated, not measured: it uses a cell relaxed with PBE+U and Cu Kα.
Intensities are scaled so that the largest is 100.

Atomic structure:
```
MnRe2O10
1.0
7.710 -2.915 0.000
7.710 2.915 0.000
-1.844 0.000 5.359
Mn Re O
1 2 10
Cartesian
0.000 0.000 0.000
5.580 0.000 0.172
7.996 0.000 5.187
0.904 0.000 1.535
6.440 1.450 0.764
3.958 0.000 0.764
7.136 1.450 4.595
3.729 0.000 3.807
9.847 0.000 1.553
6.440 -1.450 0.764
9.618 0.000 4.595
7.136 -1.450 4.595
12.673 0.000 3.824
```

Principal peaks in the range 10 to 90 degrees two-theta, sorted by position:
- d 5.414, I = 28.8
- d 5.359, I = 100.0
- d 3.733, I = 62.6
- d 3.602, I = 39.3
- d 3.501, I = 55.2
- d 2.915, I = 21.5

Diffraction record for Sr2MnReO6. The PXRD pattern is simulated, not measured: it uses a cell relaxed with PBE+U and Cu Kα.
Intensities are scaled so that the largest is 100.

Atomic structure:
```
Sr2MnReO6
1.0
0.000 4.057 4.057
4.057 0.000 4.057
4.057 4.057 0.000
Sr Mn Re O
2 1 1 6
Cartesian
2.029 2.029 2.029
6.086 6.086 6.086
0.000 0.000 0.000
4.057 4.057 4.057
4.057 4.057 2.127
4.057 2.127 4.057
5.988 4.057 4.057
2.127 4.057 4.057
4.057 5.988 4.057
4.057 4.057 5.988
```

Principal peaks in the range 10 to 90 degrees two-theta, sorted by position:
- d 4.685, I = 27.1
- d 2.869, I = 100.0
- d 2.029, I = 32.3
- d 1.656, I = 39.5
- d 1.435, I = 19.5
- d 1.283, I = 17.4

Diffraction record for Sm2MnRhO6. The PXRD pattern is simulated, not measured: it uses a cell relaxed with PBE+U and Cu Kα.
Intensities are scaled so that the largest is 100.

Atomic structure:
```
Sm2MnRhO6
1.0
5.482 0.000 0.000
0.000 5.861 0.000
-5.261 0.000 7.590
Sm Mn Rh O
4 2 2 12
Cartesian
-0.067 0.435 1.890
-2.697 2.496 5.685
2.919 3.365 1.905
0.288 5.426 5.700
2.741 0.000 0.000
0.111 2.931 3.795
-2.630 0.000 3.795
0.000 2.931 0.000
-4.245 1.143 7.191
-1.615 1.788 3.396
-3.568 4.080 7.170
-0.937 4.712 3.375
-1.959 0.223 5.737
0.672 2.707 1.942
-0.450 3.154 5.648
2.180 5.638 1.853
1.158 1.149 4.215
3.789 1.782 0.420
1.836 4.074 4.194
4.466 4.718 0.399
```

Principal peaks in the range 10 to 90 degrees two-theta, sorted by position:
- d 2.931, I = 37.0
- d 2.784, I = 100.0
- d 2.738, I = 77.1
- d 2.725, I = 93.1
- d 2.001, I = 33.6
- d 1.898, I = 26.2

Diffraction record for Sr4MnRuO8. The PXRD pattern is simulated, not measured: it uses a cell relaxed with PBE+U and Cu Kα.
Intensities are scaled so that the largest is 100.

Atomic structure:
```
Sr4MnRuO8
1.0
2.828 -6.244 0.000
2.828 6.244 0.000
0.000 0.000 5.656
Sr Mn Ru O
4 1 1 8
Cartesian
2.828 4.466 0.000
2.828 1.804 2.828
2.828 -1.804 2.828
2.828 -4.466 0.000
0.000 0.000 2.828
2.828 0.000 0.000
2.828 4.279 2.828
1.441 0.000 1.387
1.441 0.000 4.269
2.828 2.020 0.000
2.828 -2.020 0.000
4.215 0.000 1.387
4.215 0.000 4.269
2.828 -4.279 2.828
```

Principal peaks in the range 10 to 90 degrees two-theta, sorted by position:
- d 2.884, I = 100.0
- d 2.828, I = 73.7
- d 2.000, I = 40.8
- d 1.676, I = 16.7
- d 1.643, I = 38.4
- d 1.442, I = 16.2

Diffraction record for Sr4MnRuO8. The PXRD pattern is simulated, not measured: it uses a cell relaxed with PBE+U and Cu Kα.
Intensities are scaled so that the largest is 100.

Atomic structure:
```
Sr4MnRuO8
1.0
3.927 0.000 0.000
0.000 3.927 0.000
0.000 0.000 12.681
Sr Mn Ru O
4 1 1 8
Cartesian
0.000 0.000 1.746
0.000 0.000 10.935
1.963 1.963 4.412
1.963 1.963 8.269
1.963 1.963 0.000
0.000 0.000 6.340
0.000 0.000 4.297
0.000 0.000 8.383
0.000 1.963 0.000
0.000 1.963 6.340
1.963 0.000 0.000
1.963 0.000 6.340
1.963 1.963 2.005
1.963 1.963 10.676
```

Principal peaks in the range 10 to 90 degrees two-theta, sorted by position:
- d 2.877, I = 100.0
- d 2.777, I = 70.2
- d 1.963, I = 38.4
- d 1.682, I = 17.5
- d 1.622, I = 37.1
- d 1.438, I = 16.5